The following is a simulated X-ray powder pattern of RbTl2VF6. It was derived from DFT lattice parameters and positions (GGA+U), using Cu Kα.
Kinematic intensities with the Lorentz-polarization factor, no thermal factor.

Structure:
abc: 6.166 6.912 11.116
angles: 90.00 123.59 90.00
Space group P2_1/c (No. 14)
Inequivalent atoms, fractional coordinates:
Rb1 0.000 0.000 0.000 [2 per cell]
Tl1 0.221 0.040 0.731 [4 per cell]
V1 0.500 0.000 0.500 [2 per cell]
F1 0.208 0.152 0.487 [4 per cell]
F2 0.274 0.731 0.936 [4 per cell]
F3 0.367 0.063 0.296 [4 per cell]

Most intense lines, 5 to 70 degrees two-theta, by intensity:
two_theta	I (rel.)	(hkl)
27.33	100	1 1 -3
25.78	27	0 2 0
39.15	26	2 2 -2
28.96	23	2 0 -2
19.29	22	1 1 -1
50.34	21	3 1 -1
46.42	17	1 3 1
34.98	15	2 0 -4